For Mg14CrC, a crystal structure in the Materials Project, relaxed with GGA-PBE gives the simulated PXRD pattern in this record (Cu Kα X-rays).
Kinematic intensities with the Lorentz-polarization factor, no thermal factor.

Top 10 peaks for 5° ≤ 2θ ≤ 70°, by intensity:
2θ 37.4, 2.404 Å, I 100; 2θ 38.1, 2.365 Å, I 34; 2θ 37.1, 2.421 Å, I 28; 2θ 32.3, 2.770 Å, I 24; 2θ 58.6, 1.576 Å, I 16; 2θ 33.1, 2.710 Å, I 16; 2θ 67.1, 1.394 Å, I 11; 2θ 50.0, 1.823 Å, I 10; 2θ 9.1, 9.683 Å, I 10; 2θ 57.2, 1.611 Å, I 9

```
Mg14CrC
1.0
9.683 0.000 0.000
0.000 3.222 5.420
0.000 -3.222 5.420
Mg Cr C
14 1 1
direct
0.000 0.000 0.000
0.000 0.010 0.501
0.000 0.497 0.497
0.000 0.501 0.010
0.248 0.668 0.668
0.258 0.167 0.167
0.288 0.161 0.692
0.288 0.692 0.161
0.500 0.456 0.976
0.500 0.976 0.456
0.712 0.161 0.692
0.712 0.692 0.161
0.742 0.167 0.167
0.752 0.668 0.668
0.500 0.499 0.499
0.500 0.053 0.053
```

---

For BaC2, a crystal structure in the Materials Project, relaxed with GGA-PBE gives the simulated PXRD pattern in this record (Cu Kα X-rays).
Kinematic intensities with the Lorentz-polarization factor, no thermal factor.

Top 10 peaks for 5° ≤ 2θ ≤ 70°, by intensity:
2θ 27.0, 3.301 Å, I 100; 2θ 23.1, 3.857 Å, I 79; 2θ 27.3, 3.269 Å, I 57; 2θ 22.7, 3.914 Å, I 49; 2θ 37.4, 2.403 Å, I 37; 2θ 39.5, 2.284 Å, I 37; 2θ 24.8, 3.595 Å, I 37; 2θ 40.1, 2.251 Å, I 34; 2θ 44.4, 2.039 Å, I 21; 2θ 22.3, 3.979 Å, I 18

```
BaC2
1.0
3.830 -2.389 0.000
3.830 2.389 0.000
-2.881 0.000 7.827
Ba C
2 4
direct
0.190 0.810 0.750
0.810 0.190 0.250
0.107 0.414 0.054
0.414 0.107 0.554
0.586 0.893 0.446
0.893 0.586 0.946
```

---

For Tb4Te3N2, a crystal structure in the Materials Project, relaxed with GGA-PBE gives the simulated PXRD pattern in this record (Cu Kα X-rays).
Kinematic intensities with the Lorentz-polarization factor, no thermal factor.

Top 10 peaks for 5° ≤ 2θ ≤ 70°, by intensity:
2θ 30.5, 2.931 Å, I 100; 2θ 29.8, 3.000 Å, I 59; 2θ 28.1, 3.177 Å, I 32; 2θ 25.2, 3.533 Å, I 32; 2θ 26.6, 3.345 Å, I 30; 2θ 35.3, 2.544 Å, I 27; 2θ 27.0, 3.298 Å, I 25; 2θ 37.9, 2.371 Å, I 25; 2θ 38.4, 2.345 Å, I 24; 2θ 32.3, 2.770 Å, I 23

```
Tb4Te3N2
1.0
7.355 0.000 0.000
0.000 11.735 0.000
0.000 0.000 11.081
Tb Te N
16 12 8
direct
0.025 0.092 0.177
0.025 0.408 0.323
0.163 0.653 0.118
0.163 0.847 0.382
0.337 0.153 0.382
0.337 0.347 0.118
0.475 0.592 0.323
0.475 0.908 0.177
0.525 0.092 0.823
0.525 0.408 0.677
0.663 0.653 0.882
0.663 0.847 0.618
0.837 0.153 0.618
0.837 0.347 0.882
0.975 0.592 0.677
0.975 0.908 0.823
0.131 0.161 0.918
0.131 0.339 0.582
0.250 0.000 0.609
0.250 0.500 0.891
0.369 0.661 0.582
0.369 0.839 0.918
0.631 0.161 0.082
0.631 0.339 0.418
0.750 0.000 0.391
0.750 0.500 0.109
0.869 0.661 0.418
0.869 0.839 0.082
0.158 0.250 0.250
0.250 0.000 0.275
0.250 0.500 0.225
0.342 0.750 0.250
0.658 0.250 0.750
0.750 0.000 0.725
0.750 0.500 0.775
0.842 0.750 0.750
```

---

For DyBiRu2O7, a crystal structure in the Materials Project, relaxed with GGA-PBE gives the simulated PXRD pattern in this record (Cu Kα X-rays).
Kinematic intensities with the Lorentz-polarization factor, no thermal factor.

Top 10 peaks for 5° ≤ 2θ ≤ 70°, by intensity:
2θ 30.1, 2.965 Å, I 100; 2θ 29.9, 2.987 Å, I 100; 2θ 34.8, 2.577 Å, I 70; 2θ 50.0, 1.823 Å, I 61; 2θ 59.3, 1.558 Å, I 44; 2θ 59.7, 1.548 Å, I 28; 2θ 49.8, 1.831 Å, I 16; 2θ 50.4, 1.811 Å, I 15; 2θ 59.5, 1.554 Å, I 14; 2θ 14.8, 5.974 Å, I 12

```
DyBiRu2O7
1.0
-3.621 3.663 5.161
3.621 -3.663 5.161
3.621 3.663 -5.161
Dy Bi Ru O
2 2 4 14
direct
0.000 0.000 0.000
0.500 0.000 0.500
0.500 0.000 0.000
0.500 0.500 0.500
0.000 0.000 0.500
0.000 0.500 0.000
0.000 0.500 0.500
0.500 0.500 0.000
0.082 0.420 0.251
0.082 0.831 0.662
0.082 0.832 0.250
0.330 0.580 0.750
0.331 0.169 0.751
0.331 0.580 0.162
0.366 0.116 0.250
0.634 0.884 0.750
0.669 0.420 0.838
0.669 0.831 0.249
0.670 0.420 0.250
0.918 0.168 0.750
0.918 0.169 0.338
0.918 0.580 0.749
```

---

For YUO4, a crystal structure in the Materials Project, relaxed with GGA-PBE gives the simulated PXRD pattern in this record (Cu Kα X-rays).
Kinematic intensities with the Lorentz-polarization factor, no thermal factor.

Top 10 peaks for 5° ≤ 2θ ≤ 70°, by intensity:
2θ 28.8, 3.096 Å, I 100; 2θ 48.0, 1.896 Å, I 53; 2θ 56.9, 1.618 Å, I 30; 2θ 18.5, 4.798 Å, I 26; 2θ 33.4, 2.684 Å, I 21; 2θ 57.1, 1.614 Å, I 15; 2θ 33.5, 2.675 Å, I 10; 2θ 59.7, 1.548 Å, I 9; 2θ 45.6, 1.990 Å, I 8; 2θ 38.4, 2.342 Å, I 8

```
YUO4
1.0
-2.684 2.684 5.350
2.684 -2.684 5.350
2.684 2.684 -5.350
Y U O
2 2 8
direct
0.375 0.625 0.750
0.625 0.375 0.250
0.125 0.875 0.250
0.875 0.125 0.750
0.000 0.237 0.237
0.000 0.763 0.763
0.237 0.000 0.737
0.237 0.500 0.237
0.500 0.237 0.737
0.500 0.763 0.263
0.763 0.000 0.263
0.763 0.500 0.763
```